Structure and simulated X-ray powder pattern of LaSe2F (a GGA-PBE-relaxed structure; Cu Kα, 1.54184 Å).
Neutral-atom scattering factors, no anomalous dispersion.

Peak list (10 most intense, 2θ = 15–90°, low angle first)
d/Å, 2theta, I_rel
3.746, 23.8, 61
3.224, 27.7, 100
3.146, 28.4, 28
2.960, 30.2, 21
2.741, 32.7, 37
2.409, 37.3, 83
2.294, 39.3, 24
2.162, 41.8, 34
1.988, 45.6, 59
1.345, 69.9, 29

Structure:
```
LaSe2F
1.0
-2.162 2.960 7.256
2.162 -2.960 7.256
2.162 2.960 -7.256
La Se F
2 4 2
direct
0.375 0.125 0.250
0.625 0.875 0.750
0.000 0.500 0.500
0.042 0.792 0.250
0.500 0.500 0.000
0.958 0.208 0.750
0.452 0.702 0.750
0.548 0.298 0.250
```